[1]
This entry pairs a crystal structure of Li8Tl3Pb with its theoretical powder X-ray diffraction pattern. Radiation: λ = 1.5418 Å (Cu Kα). Structure: a crystal structure in Alexandria, relaxed with PBE.
Kinematic intensities with the Lorentz-polarization factor, no thermal factor.

Structural model:
a b c (Å): 7.0552 9.3882 7.4013
angles (deg): 90.00 103.96 90.00
Space group Cm (No. 8)
Symmetry-distinct sites (fractional):
Li 0.0000 0.0000 0.0000
Li 0.0110 0.5000 0.9929
Li 0.0858 0.2310 0.3199
Li 0.1449 0.5000 0.6774
Li 0.3661 0.0000 0.3027
Li 0.4251 0.2735 0.6637
Tl 0.2192 0.0000 0.6332
Tl 0.2545 0.2460 0.9886
Pb 0.3066 0.5000 0.3533

Peak list (12 most intense, 10° ≤ 2θ ≤ 80°, low angle first)
| hkl | 2theta | d (Å) | intensity |
| --- | --- | --- | --- |
| 1 1 -1 | 18.23 | 4.865 | 52 |
| 0 2 1 | 22.63 | 3.929 | 100 |
| 2 0 0 | 26.02 | 3.424 | 55 |
| 1 1 -2 | 26.83 | 3.323 | 21 |
| 0 2 2 | 31.37 | 2.852 | 25 |
| 2 2 -1 | 32.30 | 2.771 | 36 |
| 2 2 1 | 37.00 | 2.430 | 83 |
| 0 0 3 | 37.57 | 2.394 | 21 |
| 0 4 0 | 38.35 | 2.347 | 31 |
| 2 0 -3 | 40.43 | 2.231 | 18 |
| 2 4 0 | 46.93 | 1.936 | 23 |
| 0 4 3 | 54.75 | 1.677 | 28 |

=====

[2]
This entry pairs a crystal structure of Li7Tl2Pb with its theoretical powder X-ray diffraction pattern. Radiation: λ = 1.5418 Å (Cu Kα). Structure: a crystal structure in Alexandria, relaxed with PBE.
Kinematic intensities with the Lorentz-polarization factor, no thermal factor.

Structural model:
a b c (Å): 4.7938 4.7938 10.2045
angles (deg): 90.00 90.00 120.00
Space group P3m1 (No. 156)
Symmetry-distinct sites (fractional):
Li 0.0000 0.0000 0.0000
Li 0.0000 0.0000 0.2420
Li 0.0000 0.0000 0.4865
Li 0.3333 0.6667 0.0549
Li 0.3333 0.6667 0.6890
Li 0.6667 0.3333 0.5539
Li 0.6667 0.3333 0.8558
Tl 0.0000 0.0000 0.7428
Tl 0.3333 0.6667 0.3806
Pb 0.6667 0.3333 0.1602

Peak list (12 most intense, 10° ≤ 2θ ≤ 80°, low angle first)
| hkl | 2theta | d (Å) | intensity |
| --- | --- | --- | --- |
| 0 0 2 | 17.38 | 5.102 | 13 |
| 1 0 1 | 23.13 | 3.846 | 100 |
| 0 1 2 | 27.70 | 3.220 | 54 |
| 1 0 3 | 34.08 | 2.631 | 27 |
| 1 1 0 | 37.52 | 2.397 | 36 |
| 0 1 4 | 41.57 | 2.172 | 30 |
| 0 2 1 | 44.54 | 2.034 | 18 |
| 1 1 3 | 46.34 | 1.959 | 14 |
| 2 0 2 | 47.27 | 1.923 | 13 |
| 1 1 5 | 59.49 | 1.554 | 13 |
| 2 1 1 | 59.61 | 1.551 | 16 |
| 1 2 2 | 61.86 | 1.500 | 12 |

=====

[3]
This entry pairs a crystal structure of Li2TlPb2 with its theoretical powder X-ray diffraction pattern. Radiation: λ = 1.5418 Å (Cu Kα). Structure: a crystal structure in Alexandria, relaxed with PBE.
Kinematic intensities with the Lorentz-polarization factor, no thermal factor.

Structural model:
a b c (Å): 4.6847 6.3740 8.2845
angles (deg): 90.00 90.00 90.00
Space group Immm (No. 71)
Symmetry-distinct sites (fractional):
Li 0.0000 0.2235 0.0000
Tl 0.0000 0.0000 0.5000
Pb 0.0000 0.5000 0.3038

Peak list (12 most intense, 10° ≤ 2θ ≤ 80°, low angle first)
| hkl | 2theta | d (Å) | intensity |
| --- | --- | --- | --- |
| 1 0 1 | 21.79 | 4.078 | 50 |
| 1 1 0 | 23.57 | 3.775 | 17 |
| 0 2 0 | 28.00 | 3.187 | 47 |
| 1 1 2 | 32.08 | 2.790 | 100 |
| 0 1 3 | 35.42 | 2.534 | 42 |
| 1 2 1 | 35.76 | 2.511 | 33 |
| 2 0 0 | 38.43 | 2.342 | 22 |
| 2 2 0 | 48.22 | 1.887 | 22 |
| 1 3 2 | 52.17 | 1.753 | 26 |
| 2 1 3 | 53.26 | 1.720 | 29 |
| 3 1 2 | 65.54 | 1.424 | 13 |
| 1 2 5 | 66.68 | 1.403 | 18 |

=====

[4]
This entry pairs a crystal structure of Li7TlPb2 with its theoretical powder X-ray diffraction pattern. Radiation: λ = 1.5418 Å (Cu Kα). Structure: a crystal structure in Alexandria, relaxed with PBE.
Kinematic intensities with the Lorentz-polarization factor, no thermal factor.

Structural model:
a b c (Å): 4.7650 4.7650 10.3703
angles (deg): 90.00 90.00 120.00
Space group P3m1 (No. 156)
Symmetry-distinct sites (fractional):
Li 0.0000 0.0000 0.0000
Li 0.0000 0.0000 0.2412
Li 0.0000 0.0000 0.7524
Li 0.3333 0.6667 0.4396
Li 0.3333 0.6667 0.8217
Li 0.6667 0.3333 0.3217
Li 0.6667 0.3333 0.6072
Tl 0.6667 0.3333 0.9104
Pb 0.0000 0.0000 0.4972
Pb 0.3333 0.6667 0.1210

Peak list (12 most intense, 10° ≤ 2θ ≤ 80°, low angle first)
| hkl | 2theta | d (Å) | intensity |
| --- | --- | --- | --- |
| 0 0 2 | 17.10 | 5.185 | 17 |
| 1 0 1 | 23.20 | 3.834 | 100 |
| 0 1 2 | 27.63 | 3.229 | 52 |
| 1 0 3 | 33.83 | 2.650 | 29 |
| 1 1 0 | 37.76 | 2.382 | 36 |
| 0 1 4 | 41.12 | 2.195 | 24 |
| 1 1 2 | 41.72 | 2.165 | 11 |
| 0 2 1 | 44.79 | 2.024 | 18 |
| 1 1 3 | 46.28 | 1.962 | 13 |
| 2 0 2 | 47.42 | 1.917 | 12 |
| 1 1 5 | 59.05 | 1.564 | 15 |
| 2 1 1 | 59.98 | 1.542 | 16 |

=====

[5]
This entry pairs a crystal structure of Li6TmPb6 with its theoretical powder X-ray diffraction pattern. Radiation: λ = 1.5418 Å (Cu Kα). Structure: a crystal structure in Alexandria, relaxed with PBE.
Kinematic intensities with the Lorentz-polarization factor, no thermal factor.

Structural model:
a b c (Å): 5.8654 9.6242 10.3119
angles (deg): 90.00 90.00 90.00
Space group Immm (No. 71)
Symmetry-distinct sites (fractional):
Li 0.0000 0.2489 0.0000
Li 0.2500 0.2500 0.2500
Tm 0.0000 0.5000 0.5000
Pb 0.0000 0.0000 0.1626
Pb 0.0000 0.1616 0.5000
Pb 0.0000 0.5000 0.1661

Peak list (12 most intense, 10° ≤ 2θ ≤ 80°, low angle first)
| hkl | 2theta | d (Å) | intensity |
| --- | --- | --- | --- |
| 0 2 0 | 18.44 | 4.812 | 50 |
| 1 2 1 | 25.45 | 3.499 | 28 |
| 0 3 1 | 29.15 | 3.063 | 19 |
| 1 0 3 | 30.13 | 2.966 | 100 |
| 2 0 0 | 30.48 | 2.933 | 49 |
| 1 2 3 | 35.56 | 2.525 | 45 |
| 2 2 0 | 35.86 | 2.504 | 22 |
| 1 3 2 | 36.37 | 2.470 | 20 |
| 1 4 1 | 41.47 | 2.177 | 17 |
| 3 0 3 | 53.95 | 1.699 | 20 |
| 0 6 0 | 57.49 | 1.603 | 20 |
| 1 6 3 | 66.24 | 1.411 | 23 |

=====

[6]
This entry pairs a crystal structure of Li4TmPb5 with its theoretical powder X-ray diffraction pattern. Radiation: λ = 1.5418 Å (Cu Kα). Structure: a crystal structure in Alexandria, relaxed with PBE.
Kinematic intensities with the Lorentz-polarization factor, no thermal factor.

Structural model:
a b c (Å): 3.5758 3.5758 18.4866
angles (deg): 90.00 90.00 90.00
Space group P4/mmm (No. 123)
Symmetry-distinct sites (fractional):
Li 0.0000 0.0000 0.0952
Li 0.0000 0.0000 0.2879
Tm 0.0000 0.0000 0.5000
Pb 0.5000 0.5000 0.0000
Pb 0.5000 0.5000 0.1923
Pb 0.5000 0.5000 0.3832

Peak list (12 most intense, 10° ≤ 2θ ≤ 80°, low angle first)
| hkl | 2theta | d (Å) | intensity |
| --- | --- | --- | --- |
| 0 0 5 | 24.07 | 3.697 | 28 |
| 1 0 0 | 24.90 | 3.576 | 62 |
| 1 0 4 | 31.64 | 2.828 | 10 |
| 1 0 5 | 34.91 | 2.570 | 100 |
| 1 1 0 | 35.50 | 2.528 | 54 |
| 1 1 5 | 43.35 | 2.087 | 25 |
| 2 0 0 | 51.09 | 1.788 | 19 |
| 2 0 5 | 57.23 | 1.610 | 11 |
| 2 1 0 | 57.64 | 1.599 | 13 |
| 1 0 11 | 60.91 | 1.521 | 9 |
| 1 1 10 | 62.21 | 1.492 | 13 |
| 2 1 5 | 63.37 | 1.468 | 37 |

=====

[7]
This entry pairs a crystal structure of Li2TmPb3 with its theoretical powder X-ray diffraction pattern. Radiation: λ = 1.5418 Å (Cu Kα). Structure: a crystal structure in Alexandria, relaxed with PBE.
Kinematic intensities with the Lorentz-polarization factor, no thermal factor.

Structural model:
a b c (Å): 5.0138 15.4911 7.5726
angles (deg): 90.00 90.00 90.00
Space group Cmmm (No. 65)
Symmetry-distinct sites (fractional):
Li 0.0000 0.0000 0.0000
Li 0.0000 0.0000 0.5000
Li 0.0000 0.3374 0.0000
Tm 0.0000 0.3396 0.5000
Pb 0.0000 0.1650 0.2310
Pb 0.0000 0.5000 0.2330

Peak list (12 most intense, 10° ≤ 2θ ≤ 80°, low angle first)
| hkl | 2theta | d (Å) | intensity |
| --- | --- | --- | --- |
| 0 0 2 | 23.50 | 3.786 | 19 |
| 1 3 0 | 24.75 | 3.597 | 36 |
| 1 3 1 | 27.45 | 3.249 | 16 |
| 1 3 2 | 34.39 | 2.608 | 100 |
| 0 6 0 | 34.75 | 2.582 | 25 |
| 2 0 0 | 35.82 | 2.507 | 23 |
| 0 0 4 | 48.06 | 1.893 | 9 |
| 2 6 0 | 50.76 | 1.799 | 17 |
| 0 6 4 | 60.66 | 1.527 | 9 |
| 1 9 2 | 62.06 | 1.496 | 18 |
| 3 3 2 | 63.46 | 1.466 | 21 |
| 2 6 4 | 72.49 | 1.304 | 10 |

=====

[8]
This entry pairs a crystal structure of LiTm3Pb5 with its theoretical powder X-ray diffraction pattern. Radiation: λ = 1.5418 Å (Cu Kα). Structure: a crystal structure in Alexandria, relaxed with PBE.
Kinematic intensities with the Lorentz-polarization factor, no thermal factor.

Structural model:
a b c (Å): 9.2580 9.2580 6.4979
angles (deg): 90.00 90.00 120.00
Space group P6_3/mcm (No. 193)
Symmetry-distinct sites (fractional):
Li 0.0000 0.0000 0.0000
Tm 0.0000 0.3838 0.2500
Pb 0.0000 0.2691 0.7500
Pb 0.3333 0.6667 0.0000

Peak list (12 most intense, 10° ≤ 2θ ≤ 80°, low angle first)
| hkl | 2theta | d (Å) | intensity |
| --- | --- | --- | --- |
| 1 0 0 | 11.04 | 8.018 | 13 |
| 0 0 2 | 27.45 | 3.249 | 17 |
| 2 1 0 | 29.48 | 3.030 | 23 |
| 2 1 1 | 32.60 | 2.746 | 79 |
| 3 0 0 | 33.53 | 2.673 | 80 |
| 1 1 2 | 33.70 | 2.659 | 100 |
| 3 1 1 | 42.99 | 2.104 | 17 |
| 2 2 2 | 48.28 | 1.885 | 27 |
| 3 2 1 | 51.65 | 1.770 | 16 |
| 2 1 3 | 51.89 | 1.762 | 22 |
| 5 1 1 | 66.51 | 1.406 | 15 |
| 3 0 4 | 67.47 | 1.388 | 22 |

=====

[9]
This entry pairs a crystal structure of Li2Tm5Pb5 with its theoretical powder X-ray diffraction pattern. Radiation: λ = 1.5418 Å (Cu Kα). Structure: a crystal structure in Alexandria, relaxed with PBE.
Kinematic intensities with the Lorentz-polarization factor, no thermal factor.

Structural model:
a b c (Å): 16.2835 4.6500 10.4415
angles (deg): 90.00 128.76 90.00
Space group C2/m (No. 12)
Symmetry-distinct sites (fractional):
Li 0.1468 0.0000 0.2617
Tm 0.0000 0.5000 0.0000
Tm 0.1019 0.5000 0.4213
Tm 0.1859 0.5000 0.8284
Pb 0.0000 0.0000 0.5000
Pb 0.0658 0.0000 0.8716
Pb 0.2486 0.5000 0.3137

Peak list (12 most intense, 10° ≤ 2θ ≤ 80°, low angle first)
| hkl | 2theta | d (Å) | intensity |
| --- | --- | --- | --- |
| 1 1 -2 | 26.53 | 3.360 | 18 |
| 3 1 -2 | 26.70 | 3.338 | 28 |
| 3 1 0 | 28.52 | 3.130 | 22 |
| 3 1 -3 | 32.13 | 2.786 | 100 |
| 2 0 2 | 32.73 | 2.736 | 55 |
| 1 1 -3 | 34.97 | 2.566 | 17 |
| 5 1 -1 | 35.43 | 2.533 | 100 |
| 6 0 -4 | 37.51 | 2.397 | 20 |
| 0 2 0 | 38.73 | 2.325 | 48 |
| 2 2 2 | 51.59 | 1.772 | 31 |
| 3 3 -3 | 66.00 | 1.415 | 18 |
| 9 1 -7 | 67.90 | 1.380 | 16 |

=====

[10]
This entry pairs a crystal structure of Li5TmPb6 with its theoretical powder X-ray diffraction pattern. Radiation: λ = 1.5418 Å (Cu Kα). Structure: a crystal structure in Alexandria, relaxed with PBE.
Kinematic intensities with the Lorentz-polarization factor, no thermal factor.

Structural model:
a b c (Å): 5.1628 7.0816 8.0922
angles (deg): 90.00 106.37 90.00
Space group P2/m (No. 10)
Symmetry-distinct sites (fractional):
Li 0.0000 0.0000 0.0000
Li 0.2903 0.0000 0.6602
Li 0.3146 0.5000 0.6776
Tm 0.0000 0.5000 0.0000
Pb 0.2018 0.2468 0.3460
Pb 0.5000 0.2306 0.0000

Peak list (12 most intense, 10° ≤ 2θ ≤ 80°, low angle first)
| hkl | 2theta | d (Å) | intensity |
| --- | --- | --- | --- |
| 1 0 1 | 23.88 | 3.727 | 68 |
| 1 0 -2 | 24.83 | 3.585 | 67 |
| 0 2 0 | 25.15 | 3.541 | 63 |
| 0 0 3 | 34.66 | 2.588 | 53 |
| 2 0 -1 | 34.78 | 2.579 | 50 |
| 1 2 1 | 34.95 | 2.567 | 100 |
| 1 2 -2 | 35.64 | 2.519 | 100 |
| 0 2 3 | 43.30 | 2.089 | 30 |
| 2 2 -1 | 43.40 | 2.085 | 28 |
| 2 2 -4 | 57.64 | 1.599 | 25 |
| 1 2 -5 | 63.20 | 1.471 | 19 |
| 0 4 3 | 63.68 | 1.461 | 19 |

=====

[11]
This entry pairs a crystal structure of LiPb2W with its theoretical powder X-ray diffraction pattern. Radiation: λ = 1.5418 Å (Cu Kα). Structure: a crystal structure in Alexandria, relaxed with PBE.
Kinematic intensities with the Lorentz-polarization factor, no thermal factor.

Structural model:
a b c (Å): 2.9934 2.9934 10.6033
angles (deg): 90.00 90.00 90.00
Space group P4mm (No. 99)
Symmetry-distinct sites (fractional):
Li 0.0000 0.0000 0.0000
Pb 0.0000 0.0000 0.5931
Pb 0.5000 0.5000 0.2110
W 0.5000 0.5000 0.8126

Peak list (12 most intense, 10° ≤ 2θ ≤ 80°, low angle first)
| hkl | 2theta | d (Å) | intensity |
| --- | --- | --- | --- |
| 0 0 2 | 16.72 | 5.302 | 51 |
| 0 0 3 | 25.20 | 3.534 | 40 |
| 1 0 1 | 31.04 | 2.881 | 65 |
| 1 0 2 | 34.41 | 2.607 | 100 |
| 1 0 3 | 39.45 | 2.284 | 46 |
| 1 1 0 | 42.69 | 2.118 | 71 |
| 1 0 4 | 45.72 | 1.985 | 19 |
| 1 1 2 | 46.18 | 1.966 | 16 |
| 1 1 3 | 50.24 | 1.816 | 26 |
| 2 0 0 | 61.96 | 1.498 | 47 |
| 1 0 7 | 69.55 | 1.352 | 17 |
| 2 1 2 | 72.87 | 1.298 | 24 |

=====

[12]
This entry pairs a crystal structure of Li2YPb2 with its theoretical powder X-ray diffraction pattern. Radiation: λ = 1.5418 Å (Cu Kα). Structure: a crystal structure in Alexandria, relaxed with PBE.
Kinematic intensities with the Lorentz-polarization factor, no thermal factor.

Structural model:
a b c (Å): 8.0696 4.6734 6.9783
angles (deg): 90.00 112.41 90.00
Space group C2/m (No. 12)
Symmetry-distinct sites (fractional):
Li 0.1892 0.0000 0.0669
Y 0.0000 0.0000 0.5000
Pb 0.0802 0.5000 0.2382

Peak list (12 most intense, 10° ≤ 2θ ≤ 80°, low angle first)
| hkl | 2theta | d (Å) | intensity |
| --- | --- | --- | --- |
| 2 0 -1 | 22.48 | 3.956 | 83 |
| 1 1 -1 | 23.86 | 3.729 | 100 |
| 0 0 2 | 27.66 | 3.226 | 23 |
| 2 0 1 | 32.02 | 2.795 | 94 |
| 0 2 0 | 38.59 | 2.333 | 81 |
| 1 1 2 | 39.44 | 2.285 | 43 |
| 2 0 -3 | 39.60 | 2.276 | 22 |
| 3 1 1 | 48.07 | 1.893 | 22 |
| 2 2 1 | 50.90 | 1.794 | 17 |
| 5 1 0 | 65.67 | 1.422 | 16 |
| 1 3 2 | 70.32 | 1.339 | 16 |
| 3 1 3 | 70.97 | 1.328 | 18 |

=====

[13]
This entry pairs a crystal structure of Li6ZnPb2 with its theoretical powder X-ray diffraction pattern. Radiation: λ = 1.5418 Å (Cu Kα). Structure: a crystal structure in Alexandria, relaxed with PBE.
Kinematic intensities with the Lorentz-polarization factor, no thermal factor.

Structural model:
a b c (Å): 11.7689 5.8586 5.0417
angles (deg): 90.00 97.30 90.00
Space group C2/m (No. 12)
Symmetry-distinct sites (fractional):
Li 0.0984 0.2451 0.1708
Li 0.2033 0.5000 0.7433
Zn 0.0000 0.5000 0.5000
Pb 0.1370 0.0000 0.6792

Peak list (12 most intense, 10° ≤ 2θ ≤ 80°, low angle first)
| hkl | 2theta | d (Å) | intensity |
| --- | --- | --- | --- |
| 1 1 0 | 16.93 | 5.236 | 66 |
| 0 0 1 | 17.74 | 5.001 | 47 |
| 2 0 -1 | 21.89 | 4.061 | 80 |
| 1 1 -1 | 23.89 | 3.724 | 80 |
| 2 0 1 | 24.88 | 3.579 | 36 |
| 1 1 1 | 25.32 | 3.518 | 38 |
| 3 1 0 | 27.52 | 3.241 | 100 |
| 0 2 0 | 30.52 | 2.929 | 51 |
| 3 1 1 | 34.53 | 2.597 | 59 |
| 2 2 -1 | 37.87 | 2.376 | 49 |
| 1 1 2 | 40.87 | 2.208 | 48 |
| 5 1 -1 | 43.48 | 2.081 | 41 |

=====

[14]
This entry pairs a crystal structure of Li4ZnPb5 with its theoretical powder X-ray diffraction pattern. Radiation: λ = 1.5418 Å (Cu Kα). Structure: a crystal structure in Alexandria, relaxed with PBE.
Kinematic intensities with the Lorentz-polarization factor, no thermal factor.

Structural model:
a b c (Å): 3.6724 3.6724 17.1722
angles (deg): 90.00 90.00 90.00
Space group P4/mmm (No. 123)
Symmetry-distinct sites (fractional):
Li 0.0000 0.0000 0.0986
Li 0.0000 0.0000 0.2958
Zn 0.0000 0.0000 0.5000
Pb 0.5000 0.5000 0.0000
Pb 0.5000 0.5000 0.1985
Pb 0.5000 0.5000 0.4005

Peak list (12 most intense, 10° ≤ 2θ ≤ 80°, low angle first)
| hkl | 2theta | d (Å) | intensity |
| --- | --- | --- | --- |
| 1 0 0 | 24.24 | 3.672 | 92 |
| 0 0 5 | 25.94 | 3.434 | 39 |
| 1 1 0 | 34.54 | 2.597 | 55 |
| 1 0 5 | 35.80 | 2.508 | 100 |
| 1 1 5 | 43.70 | 2.071 | 41 |
| 2 0 0 | 49.65 | 1.836 | 20 |
| 2 1 0 | 55.99 | 1.642 | 20 |
| 2 0 5 | 56.86 | 1.619 | 19 |
| 1 0 10 | 59.42 | 1.556 | 17 |
| 2 1 5 | 62.71 | 1.482 | 40 |
| 1 1 10 | 65.12 | 1.432 | 18 |
| 2 0 10 | 75.86 | 1.254 | 12 |